# CrS2O8
Simulated X-ray powder pattern, Cu Kα. Input: a cell relaxed with PBE+U.
Intensities are scaled so that the largest is 100.

Cell and atoms:
```
CrS2O8
1.0
4.177 2.412 7.476
-4.177 2.412 7.476
0.000 -4.823 7.476
Cr S O
3 6 24
Direct
0.000 0.000 0.000 Cr
0.205 0.205 0.205 Cr
0.710 0.710 0.710 Cr
0.100 0.393 0.824 S
0.315 0.891 0.609 S
0.393 0.824 0.100 S
0.609 0.315 0.891 S
0.824 0.100 0.393 S
0.891 0.609 0.315 S
0.016 0.068 0.377 O
0.033 0.407 0.333 O
0.036 0.248 0.856 O
0.068 0.377 0.016 O
0.117 0.981 0.742 O
0.248 0.856 0.036 O
0.300 0.356 0.693 O
0.322 0.707 0.642 O
0.333 0.033 0.407 O
0.356 0.693 0.300 O
0.377 0.016 0.068 O
0.407 0.333 0.033 O
0.466 0.871 0.651 O
0.587 0.745 0.964 O
0.642 0.322 0.707 O
0.651 0.466 0.871 O
0.693 0.300 0.356 O
0.707 0.642 0.322 O
0.742 0.117 0.981 O
0.745 0.964 0.587 O
0.856 0.036 0.248 O
0.871 0.651 0.466 O
0.964 0.587 0.745 O
0.981 0.742 0.117 O
```

Peak list (12 most intense, 2θ = 15–90°, in order of rising 2θ)
| Position (°2θ) | intensity |
| --- | --- |
| 20.0 | 25 |
| 23.8 | 10 |
| 24.4 | 100 |
| 29.4 | 28 |
| 32.1 | 31 |
| 33.0 | 14 |
| 37.3 | 7 |
| 39.3 | 11 |
| 42.2 | 7 |
| 50.0 | 8 |
| 52.8 | 11 |
| 58.5 | 7 |

=====

# Cr2S3O12
Simulated X-ray powder pattern, Cu Kα. Input: a cell relaxed with PBE+U.
Intensities are scaled so that the largest is 100.

Cell and atoms:
```
Cr2S3O12
1.0
4.142 2.391 7.469
-4.142 2.391 7.469
0.000 -4.782 7.469
Cr S O
4 6 24
Direct
0.145 0.145 0.145 Cr
0.348 0.348 0.348 Cr
0.652 0.652 0.652 Cr
0.855 0.855 0.855 Cr
0.038 0.459 0.752 S
0.248 0.962 0.541 S
0.459 0.752 0.038 S
0.541 0.248 0.962 S
0.752 0.038 0.459 S
0.962 0.541 0.248 S
0.015 0.610 0.797 O
0.116 0.877 0.738 O
0.123 0.262 0.884 O
0.154 0.525 0.215 O
0.173 0.483 0.546 O
0.203 0.985 0.390 O
0.215 0.154 0.525 O
0.262 0.884 0.123 O
0.390 0.203 0.985 O
0.454 0.827 0.517 O
0.475 0.785 0.846 O
0.483 0.546 0.173 O
0.517 0.454 0.827 O
0.525 0.215 0.154 O
0.546 0.173 0.483 O
0.610 0.797 0.015 O
0.738 0.116 0.877 O
0.785 0.846 0.475 O
0.797 0.015 0.610 O
0.827 0.517 0.454 O
0.846 0.475 0.785 O
0.877 0.738 0.116 O
0.884 0.123 0.262 O
0.985 0.390 0.203 O
```

Peak list (12 most intense, 2θ = 15–90°, in order of rising 2θ)
| Position (°2θ) | intensity |
| --- | --- |
| 20.1 | 43 |
| 21.5 | 11 |
| 24.6 | 100 |
| 29.6 | 37 |
| 32.3 | 47 |
| 33.3 | 11 |
| 37.6 | 14 |
| 39.6 | 9 |
| 50.4 | 12 |
| 53.0 | 15 |
| 59.0 | 9 |
| 62.4 | 9 |

=====

# CrSO4
Simulated X-ray powder pattern, Cu Kα. Input: a cell relaxed with PBE+U.
Intensities are scaled so that the largest is 100.

Cell and atoms:
```
CrSO4
1.0
4.845 0.000 0.000
0.000 6.990 0.000
-1.885 0.000 4.475
Cr S O
2 2 8
Direct
0.000 0.000 0.000 Cr
0.000 0.500 0.000 Cr
0.346 0.250 0.654 S
0.654 0.750 0.346 S
0.227 0.250 0.319 O
0.245 0.074 0.755 O
0.245 0.426 0.755 O
0.317 0.750 0.224 O
0.683 0.250 0.776 O
0.755 0.574 0.245 O
0.755 0.926 0.245 O
0.773 0.750 0.681 O
```

Peak list (12 most intense, 2θ = 15–90°, in order of rising 2θ)
| Position (°2θ) | intensity |
| --- | --- |
| 19.9 | 28 |
| 22.0 | 15 |
| 23.6 | 80 |
| 25.5 | 40 |
| 32.5 | 100 |
| 33.4 | 30 |
| 37.3 | 35 |
| 42.5 | 20 |
| 44.9 | 16 |
| 48.3 | 25 |
| 52.3 | 27 |
| 63.6 | 14 |

=====

# Sr3Cr2S2O5
Simulated X-ray powder pattern, Cu Kα. Input: a cell relaxed with PBE+U.
Intensities are scaled so that the largest is 100.

Cell and atoms:
```
Sr3Cr2S2O5
1.0
-2.010 2.010 11.382
2.010 -2.010 11.382
2.010 2.010 -11.382
Sr Cr S O
3 2 2 5
Direct
0.000 0.000 0.000 Sr
0.161 0.161 0.000 Sr
0.839 0.839 0.000 Sr
0.416 0.416 0.000 Cr
0.584 0.584 0.000 Cr
0.306 0.306 0.000 S
0.694 0.694 0.000 S
0.085 0.585 0.500 O
0.415 0.915 0.500 O
0.500 0.500 0.000 O
0.585 0.085 0.500 O
0.915 0.415 0.500 O
```

Peak list (12 most intense, 2θ = 15–90°, in order of rising 2θ)
| Position (°2θ) | intensity |
| --- | --- |
| 29.6 | 40 |
| 31.5 | 100 |
| 35.5 | 98 |
| 39.6 | 52 |
| 45.1 | 61 |
| 48.0 | 18 |
| 54.9 | 14 |
| 58.5 | 17 |
| 58.7 | 43 |
| 65.7 | 18 |
| 67.9 | 21 |
| 74.6 | 16 |

=====

# Sr2CrSO3
Simulated X-ray powder pattern, Cu Kα. Input: a cell relaxed with PBE+U.
Intensities are scaled so that the largest is 100.

Cell and atoms:
```
Sr2CrSO3
1.0
3.993 0.000 0.000
0.000 3.993 0.000
0.000 0.000 14.669
Sr Cr S O
4 2 2 6
Direct
0.250 0.250 0.092 Sr
0.250 0.250 0.335 Sr
0.750 0.750 0.665 Sr
0.750 0.750 0.908 Sr
0.250 0.250 0.793 Cr
0.750 0.750 0.207 Cr
0.250 0.250 0.620 S
0.750 0.750 0.380 S
0.250 0.250 0.923 O
0.250 0.750 0.210 O
0.250 0.750 0.790 O
0.750 0.250 0.210 O
0.750 0.250 0.790 O
0.750 0.750 0.077 O
```

Peak list (12 most intense, 2θ = 15–90°, in order of rising 2θ)
| Position (°2θ) | intensity |
| --- | --- |
| 24.3 | 17 |
| 28.9 | 30 |
| 31.7 | 100 |
| 33.2 | 89 |
| 40.3 | 31 |
| 43.4 | 16 |
| 45.4 | 56 |
| 54.5 | 17 |
| 57.4 | 36 |
| 64.5 | 18 |
| 66.2 | 21 |
| 75.3 | 22 |

=====

# Sr3Cr2S2O5
Simulated X-ray powder pattern, Cu Kα. Input: a cell relaxed with PBE+U.
Intensities are scaled so that the largest is 100.

Cell and atoms:
```
Sr3Cr2S2O5
1.0
-1.961 2.052 11.308
1.961 -2.052 11.308
1.961 2.052 -11.308
Sr Cr S O
3 2 2 5
Direct
0.000 0.000 0.000 Sr
0.163 0.163 0.000 Sr
0.837 0.837 0.000 Sr
0.416 0.416 0.000 Cr
0.584 0.584 0.000 Cr
0.306 0.306 0.000 S
0.694 0.694 0.000 S
0.085 0.585 0.500 O
0.415 0.915 0.500 O
0.500 0.500 0.000 O
0.585 0.085 0.500 O
0.915 0.415 0.500 O
```

Peak list (12 most intense, 2θ = 15–90°, in order of rising 2θ)
| Position (°2θ) | intensity |
| --- | --- |
| 29.4 | 22 |
| 30.2 | 21 |
| 31.6 | 100 |
| 35.4 | 47 |
| 36.0 | 45 |
| 39.8 | 53 |
| 44.1 | 33 |
| 46.3 | 28 |
| 58.2 | 21 |
| 58.8 | 18 |
| 59.6 | 20 |
| 65.9 | 18 |

=====

# Cr5Sb3O16
Simulated X-ray powder pattern, Cu Kα. Input: a cell relaxed with PBE+U.
Intensities are scaled so that the largest is 100.

Cell and atoms:
```
Cr5Sb3O16
1.0
5.243 -3.046 0.000
5.243 3.046 0.000
-0.027 0.000 9.079
Cr Sb O
5 3 16
Direct
0.000 0.000 0.000 Cr
0.175 0.674 0.723 Cr
0.510 0.510 0.226 Cr
0.671 0.671 0.507 Cr
0.674 0.175 0.723 Cr
0.007 0.510 0.228 Sb
0.173 0.173 0.728 Sb
0.510 0.007 0.228 Sb
0.006 0.513 0.621 O
0.009 0.009 0.612 O
0.170 0.673 0.120 O
0.174 0.174 0.118 O
0.289 0.861 0.857 O
0.341 0.341 0.829 O
0.342 0.342 0.338 O
0.389 0.819 0.355 O
0.510 0.510 0.628 O
0.513 0.006 0.621 O
0.673 0.170 0.120 O
0.677 0.677 0.109 O
0.819 0.389 0.355 O
0.820 0.820 0.362 O
0.861 0.289 0.857 O
0.870 0.870 0.845 O
```

Peak list (12 most intense, 2θ = 15–90°, in order of rising 2θ)
| Position (°2θ) | intensity |
| --- | --- |
| 16.9 | 13 |
| 19.5 | 100 |
| 19.6 | 18 |
| 25.9 | 21 |
| 34.2 | 17 |
| 35.5 | 51 |
| 35.6 | 25 |
| 39.6 | 17 |
| 45.7 | 35 |
| 53.3 | 11 |
| 61.1 | 16 |
| 62.1 | 20 |

=====

What did the second record say?
# Cr2S3O12
Simulated X-ray powder pattern, Cu Kα. Input: a cell relaxed with PBE+U.
Intensities are scaled so that the largest is 100.

Cell and atoms:
```
Cr2S3O12
1.0
4.142 2.391 7.469
-4.142 2.391 7.469
0.000 -4.782 7.469
Cr S O
4 6 24
Direct
0.145 0.145 0.145 Cr
0.348 0.348 0.348 Cr
0.652 0.652 0.652 Cr
0.855 0.855 0.855 Cr
0.038 0.459 0.752 S
0.248 0.962 0.541 S
0.459 0.752 0.038 S
0.541 0.248 0.962 S
0.752 0.038 0.459 S
0.962 0.541 0.248 S
0.015 0.610 0.797 O
0.116 0.877 0.738 O
0.123 0.262 0.884 O
0.154 0.525 0.215 O
0.173 0.483 0.546 O
0.203 0.985 0.390 O
0.215 0.154 0.525 O
0.262 0.884 0.123 O
0.390 0.203 0.985 O
0.454 0.827 0.517 O
0.475 0.785 0.846 O
0.483 0.546 0.173 O
0.517 0.454 0.827 O
0.525 0.215 0.154 O
0.546 0.173 0.483 O
0.610 0.797 0.015 O
0.738 0.116 0.877 O
0.785 0.846 0.475 O
0.797 0.015 0.610 O
0.827 0.517 0.454 O
0.846 0.475 0.785 O
0.877 0.738 0.116 O
0.884 0.123 0.262 O
0.985 0.390 0.203 O
```

Peak list (12 most intense, 2θ = 15–90°, in order of rising 2θ)
| Position (°2θ) | intensity |
| --- | --- |
| 20.1 | 43 |
| 21.5 | 11 |
| 24.6 | 100 |
| 29.6 | 37 |
| 32.3 | 47 |
| 33.3 | 11 |
| 37.6 | 14 |
| 39.6 | 9 |
| 50.4 | 12 |
| 53.0 | 15 |
| 59.0 | 9 |
| 62.4 | 9 |